Entry 1:
Simulated PXRD pattern
Compound: FeP2W
Radiation: Cu Ka
Structure: a cell relaxed with PBE

a = 3.260 Å, b = 5.991 Å, c = 5.411 Å
α = 90.00°, β = 90.00°, γ = 90.00°
Positions (direct):
1 Fe 0.000 0.057 0.000
2 Fe 0.000 0.943 0.500
3 P 0.000 0.292 0.323
4 P 0.000 0.708 0.823
5 P 0.500 0.152 0.690
6 P 0.500 0.848 0.190
7 W 0.500 0.451 0.002
8 W 0.500 0.549 0.502

Most intense lines, 2θ from 15° to 90°, in order of falling intensity:
2theta  I (rel.)  h k l
31.24  1000  1 1 0
46.16  996  1 1 2
44.35  481  1 2 1
33.11  416  0 0 2
45.16  413  0 2 2
29.82  332  0 2 0
48.59  296  0 3 1
36.44  257  0 1 2
27.36  249  1 0 0
71.48  232  1 4 1

***

Entry 2:
Simulated PXRD pattern
Compound: ScU3Sb5
Radiation: Cu Ka
Structure: a cell relaxed with PBE

a = 9.219 Å, b = 9.219 Å, c = 6.216 Å
α = 90.00°, β = 90.00°, γ = 120.00°
Positions (direct):
1 Sc 0.000 0.000 0.000
2 Sc 0.000 0.000 0.500
3 U 0.000 0.388 0.250
4 U 0.000 0.612 0.750
5 U 0.388 0.000 0.250
6 U 0.388 0.388 0.750
7 U 0.612 0.000 0.750
8 U 0.612 0.612 0.250
9 Sb 0.000 0.269 0.750
10 Sb 0.000 0.731 0.250
11 Sb 0.269 0.000 0.750
12 Sb 0.269 0.269 0.250
13 Sb 0.333 0.667 0.000
14 Sb 0.333 0.667 0.500
15 Sb 0.667 0.333 0.000
16 Sb 0.667 0.333 0.500
17 Sb 0.731 0.000 0.250
18 Sb 0.731 0.731 0.750

Most intense lines, 2θ from 15° to 90°, in order of falling intensity:
2theta  I (rel.)  h k l
34.81  1000  1 1 2
33.00  945  2 1 1
33.68  905  3 0 0
43.38  422  3 1 1
28.72  283  0 0 2
24.03  276  1 1 1
63.44  241  4 2 1
53.65  241  2 1 3
70.12  219  3 0 4
49.22  210  2 2 2